Record 1
Diffraction record for Zn3P2S8. The powder diffractogram is theoretical, not measured: it uses a DFT-relaxed cell (PBE, OQMD) and Cu Kα (λ = 1.5418 Å).

Structural model:
Unit cell a=7.843 b=7.843 c=9.138 alpha=90.00 beta=90.00 gamma=90.00
Element x y z (fractional)
Zn  0.000  0.000  0.000
Zn  0.000  0.500  0.018
Zn  0.000  0.500  0.482
Zn  0.500  0.000  0.518
Zn  0.500  0.000  0.982
Zn  0.500  0.500  0.500
P  0.244  0.256  0.250
P  0.256  0.756  0.750
P  0.744  0.244  0.750
P  0.756  0.744  0.250
S  0.021  0.747  0.861
S  0.032  0.234  0.375
S  0.234  0.968  0.625
S  0.247  0.521  0.639
S  0.253  0.021  0.139
S  0.266  0.468  0.125
S  0.468  0.734  0.875
S  0.479  0.247  0.361
S  0.521  0.753  0.361
S  0.532  0.266  0.875
S  0.734  0.532  0.125
S  0.747  0.979  0.139
S  0.753  0.479  0.639
S  0.766  0.032  0.625
S  0.968  0.766  0.375
S  0.979  0.253  0.861

Top 8 peaks for 2θ = 10–90°, in order of falling intensity:
30.03°, I = 100; 51.85°, I = 34; 56.18°, I = 26; 46.30°, I = 25; 18.72°, I = 23; 14.89°, I = 15; 22.67°, I = 15; 37.96°, I = 11



Record 2
Diffraction record for ZrP2S7. The powder diffractogram is theoretical, not measured: it uses a DFT-relaxed cell (PBE, OQMD) and Cu Kα (λ = 1.5418 Å).

Structural model:
Unit cell a=16.760 b=15.617 c=8.695 alpha=81.83 beta=67.27 gamma=30.90
Element x y z (fractional)
Zr  0.015  0.015  0.235
Zr  0.235  0.235  0.015
Zr  0.765  0.765  0.985
Zr  0.985  0.985  0.765
P  0.007  0.629  0.126
P  0.126  0.738  0.007
P  0.262  0.874  0.371
P  0.371  0.993  0.262
P  0.629  0.007  0.738
P  0.738  0.126  0.629
P  0.874  0.262  0.993
P  0.993  0.371  0.874
S  0.018  0.877  0.476
S  0.019  0.517  0.294
S  0.112  0.239  0.322
S  0.123  0.982  0.871
S  0.129  0.476  0.877
S  0.150  0.600  0.150
S  0.173  0.678  0.761
S  0.239  0.112  0.827
S  0.294  0.669  0.019
S  0.322  0.827  0.112
S  0.331  0.706  0.483
S  0.400  0.850  0.400
S  0.476  0.129  0.018
S  0.483  0.981  0.331
S  0.517  0.019  0.669
S  0.524  0.871  0.982
S  0.600  0.150  0.600
S  0.669  0.294  0.517
S  0.678  0.173  0.888
S  0.706  0.331  0.981
S  0.761  0.888  0.173
S  0.827  0.322  0.239
S  0.850  0.400  0.850
S  0.871  0.524  0.123
S  0.877  0.018  0.129
S  0.888  0.761  0.678
S  0.981  0.483  0.706
S  0.982  0.123  0.524

Top 8 peaks for 2θ = 10–90°, in order of falling intensity:
12.04°, I = 100; 33.87°, I = 58; 11.81°, I = 34; 18.87°, I = 18; 36.27°, I = 18; 31.93°, I = 13; 13.20°, I = 12; 26.35°, I = 11



Record 3
Diffraction record for ZrPS3. The powder diffractogram is theoretical, not measured: it uses a DFT-relaxed cell (PBE, OQMD) and Cu Kα (λ = 1.5418 Å).

Structural model:
Unit cell a=6.474 b=6.526 c=10.477 alpha=90.00 beta=110.66 gamma=90.00
Element x y z (fractional)
Zr  0.206  0.133  0.221
Zr  0.206  0.367  0.721
Zr  0.794  0.633  0.279
Zr  0.794  0.867  0.779
P  0.134  0.606  0.059
P  0.134  0.894  0.559
P  0.866  0.106  0.441
P  0.866  0.394  0.941
S  0.110  0.173  0.939
S  0.110  0.327  0.439
S  0.193  0.688  0.875
S  0.193  0.812  0.375
S  0.488  0.630  0.694
S  0.488  0.870  0.194
S  0.512  0.130  0.806
S  0.512  0.370  0.306
S  0.807  0.188  0.625
S  0.807  0.312  0.125
S  0.890  0.673  0.561
S  0.890  0.827  0.061

Top 8 peaks for 2θ = 10–90°, in order of falling intensity:
39.23°, I = 100; 37.03°, I = 75; 33.95°, I = 60; 24.05°, I = 56; 23.30°, I = 52; 14.62°, I = 48; 18.10°, I = 45; 19.70°, I = 38